CsKFe4S6: computed powder diffractogram (Cu Kα X-rays), based on a GGA-PBE-relaxed structure.

Most intense lines, 10° ≤ 2θ ≤ 90°, most intense first:
Position (°2θ)	I/Imax
30.30	100
24.80	68
12.30	59
15.14	39
21.17	20
53.61	20
46.93	19
49.12	16
36.98	16
38.09	16

Crystal structure
```
data_CsKFe4S6
_chemical_formula_sum 'Cs2 K2 Fe8 S12'
_symmetry_space_group_name_H-M 'A m m 2'
_symmetry_Int_Tables_number 38
_symmetry_space_group_name_Hall 'A 2 -2'
_cell_length_a 5.165
_cell_length_b 9.124
_cell_length_c 11.703
_cell_angle_alpha 90.00
_cell_angle_beta 90.00
_cell_angle_gamma 90.00
loop_
_atom_site_label
_atom_site_type_symbol
_atom_site_fract_x
_atom_site_fract_y
_atom_site_fract_z
Cs1 Cs 0.000 0.000 0.000
K1 K 0.500 0.000 0.641
Fe1 Fe 0.250 0.139 0.322
S1 S 0.000 0.000 0.426
S2 S 0.000 0.224 0.724
S3 S 0.500 0.000 0.219
S4 S 0.500 0.237 0.928
```

=====

NaSr3LaTi5O15: computed powder diffractogram (Cu Kα X-rays), based on a GGA-PBE-relaxed structure.

Most intense lines, 10° ≤ 2θ ≤ 90°, most intense first:
Position (°2θ)	I/Imax
32.22	100
32.37	54
57.65	41
46.44	40
39.80	33
67.42	23
45.99	22
57.36	20
77.09	17
19.60	13

Crystal structure
```
data_NaSr3LaTi5O15
_chemical_formula_sum 'Na4 Sr12 La4 Ti20 O60'
_symmetry_space_group_name_H-M 'I -4 2 m'
_symmetry_Int_Tables_number 121
_symmetry_space_group_name_Hall 'I -4 2'
_cell_length_a 5.531
_cell_length_b 5.531
_cell_length_c 39.472
_cell_angle_alpha 90.00
_cell_angle_beta 90.00
_cell_angle_gamma 90.00
loop_
_atom_site_label
_atom_site_type_symbol
_atom_site_fract_x
_atom_site_fract_y
_atom_site_fract_z
Na1 Na 0.000 0.000 0.200
Sr1 Sr 0.000 0.000 0.000
Sr2 Sr 0.000 0.000 0.101
Sr3 Sr 0.000 0.000 0.400
Sr4 Sr 0.000 0.000 0.500
La1 La 0.000 0.000 0.300
Ti1 Ti 0.000 0.500 0.050
Ti2 Ti 0.000 0.500 0.151
Ti3 Ti 0.000 0.500 0.250
O1 O 0.000 0.500 0.000
O2 O 0.000 0.500 0.101
O3 O 0.000 0.500 0.201
O4 O 0.204 0.204 0.749
O5 O 0.209 0.209 0.348
O6 O 0.220 0.220 0.151
O7 O 0.225 0.225 0.550
O8 O 0.225 0.225 0.950
```

=====

Repeat the first record exactly.
CsKFe4S6: computed powder diffractogram (Cu Kα X-rays), based on a GGA-PBE-relaxed structure.

Most intense lines, 10° ≤ 2θ ≤ 90°, most intense first:
Position (°2θ)	I/Imax
30.30	100
24.80	68
12.30	59
15.14	39
21.17	20
53.61	20
46.93	19
49.12	16
36.98	16
38.09	16

Crystal structure
```
data_CsKFe4S6
_chemical_formula_sum 'Cs2 K2 Fe8 S12'
_symmetry_space_group_name_H-M 'A m m 2'
_symmetry_Int_Tables_number 38
_symmetry_space_group_name_Hall 'A 2 -2'
_cell_length_a 5.165
_cell_length_b 9.124
_cell_length_c 11.703
_cell_angle_alpha 90.00
_cell_angle_beta 90.00
_cell_angle_gamma 90.00
loop_
_atom_site_label
_atom_site_type_symbol
_atom_site_fract_x
_atom_site_fract_y
_atom_site_fract_z
Cs1 Cs 0.000 0.000 0.000
K1 K 0.500 0.000 0.641
Fe1 Fe 0.250 0.139 0.322
S1 S 0.000 0.000 0.426
S2 S 0.000 0.224 0.724
S3 S 0.500 0.000 0.219
S4 S 0.500 0.237 0.928
```